For RbAcV2O8, a GGA+U-relaxed structure gives the computed X-ray powder pattern in this record (Cu Kα (weighted mean of Kα1 and Kα2)).

Top 12 peaks for 2θ from 10° to 90°, in order of rising 2θ:
(0 0 1), 10.5°, intensity 19; (1 0 0), 16.8°, intensity 84; (0 1 1), 19.9°, intensity 80; (1 0 2), 27.1°, intensity 100; (1 1 0), 29.3°, intensity 62; (1 1 2), 36.4°, intensity 29; (0 2 2), 40.4°, intensity 46; (2 1 0), 45.5°, intensity 17; (1 2 1), 46.8°, intensity 16; (2 1 2), 50.7°, intensity 34; (1 1 4), 53.0°, intensity 24; (1 3 2), 67.8°, intensity 16

```
data_RbAcV2O8
_cell_length_a 6.0930
_cell_length_b 6.0930
_cell_length_c 8.3980
_cell_angle_alpha 90.00
_cell_angle_beta 90.00
_cell_angle_gamma 120.00
_symmetry_space_group_name_H-M 'P -3 m 1'
_symmetry_Int_Tables_number 164
_symmetry_space_group_name_Hall '-P 3 2"'
loop_
_atom_site_label
_atom_site_type_symbol
_atom_site_fract_x
_atom_site_fract_y
_atom_site_fract_z
Rb1 Rb 0.0000 0.0000 0.0000
Ac1 Ac 0.0000 0.0000 0.5000
V1 V 0.3333 0.6667 0.7616
O1 O 0.1769 0.3538 0.6944
O2 O 0.3333 0.6667 0.9667
```